# 1
Theoretical X-ray powder pattern
Compound: TmZn2
Radiation: Cu Kα
Structure: a PBE-relaxed structure

Atomic structure:
```
TmZn2
1.0
2.6961 1.5566 4.4087
-2.6961 1.5566 4.4087
0.0000 -3.1132 4.4087
Tm Zn
2 4
Cartesian
0.0000 0.0000 1.6556
0.0000 0.0000 11.5704
-1.3540 -0.7680 4.4087
1.3421 -0.7886 4.4087
0.0000 0.0000 6.6130
0.0119 1.5566 4.4087
```

Peak list (8 most intense, 5° ≤ 2θ ≤ 70°, low angle first)
| Position (°2θ) | d/Å | I_rel |
| --- | --- | --- |
| 20.16 | 4.405 | 11 |
| 33.21 | 2.697 | 61 |
| 39.16 | 2.300 | 100 |
| 40.98 | 2.202 | 17 |
| 52.27 | 1.750 | 3 |
| 59.34 | 1.557 | 23 |
| 63.35 | 1.468 | 32 |
| 69.73 | 1.349 | 24 |

---

# 2
Theoretical X-ray powder pattern
Compound: TmZn2
Radiation: Cu Kα
Structure: a PBE-relaxed structure

Atomic structure:
```
TmZn2
1.0
8.0859 0.0000 0.0000
0.0000 4.6001 0.0000
-3.9417 0.0000 12.3916
Tm Zn
8 16
Cartesian
-0.7210 1.1500 3.3720
1.7493 1.1500 0.9208
0.0509 3.4501 7.5984
2.1092 3.4501 3.5027
2.0350 1.1500 8.8889
4.0933 1.1500 4.7932
2.3949 3.4501 11.4708
4.8652 3.4501 9.0196
-0.1991 3.4501 1.6893
-1.2262 1.1500 6.3537
-2.7519 3.4501 11.7728
-0.4801 3.4501 4.8526
-1.1558 1.1500 9.3418
-0.4138 3.4501 10.4549
1.3256 1.1500 5.7696
3.6208 3.4501 0.7336
0.5234 1.1500 11.6581
2.8186 3.4501 6.6220
4.5580 1.1500 1.9368
5.3000 3.4501 3.0498
4.6243 1.1500 7.5390
6.8961 1.1500 0.6188
5.3704 3.4501 6.0379
4.3433 1.1500 10.7024
```

Peak list (10 most intense, 5° ≤ 2θ ≤ 70°, low angle first)
| Position (°2θ) | d/Å | I_rel |
| --- | --- | --- |
| 24.71 | 3.603 | 39 |
| 30.28 | 2.951 | 28 |
| 32.93 | 2.720 | 72 |
| 33.47 | 2.678 | 39 |
| 33.75 | 2.656 | 47 |
| 36.65 | 2.452 | 63 |
| 38.88 | 2.316 | 71 |
| 39.17 | 2.300 | 100 |
| 39.67 | 2.272 | 70 |
| 39.82 | 2.264 | 57 |

---

# 3
Theoretical X-ray powder pattern
Compound: ZrU
Radiation: Cu Kα
Structure: a PBE-relaxed structure

Atomic structure:
```
ZrU
1.0
5.0077 0.0000 0.0000
0.0000 9.1926 0.0000
0.0000 0.0000 5.8214
Zr U
6 6
Cartesian
0.0000 0.5288 0.0000
0.0000 8.6638 2.9107
2.5038 0.9438 4.1895
2.5038 3.9683 4.4743
2.5038 5.2243 1.5636
2.5038 8.2488 1.2788
0.0000 2.7749 2.5364
0.0000 3.7486 0.1852
0.0000 5.4440 3.0959
0.0000 6.4177 5.4471
2.5038 2.0546 1.5580
2.5038 7.1380 4.4687
```

Peak list (10 most intense, 5° ≤ 2θ ≤ 70°, low angle first)
| Position (°2θ) | d/Å | I_rel |
| --- | --- | --- |
| 9.62 | 9.193 | 29 |
| 18.04 | 4.918 | 43 |
| 20.19 | 4.398 | 22 |
| 33.04 | 2.712 | 55 |
| 34.31 | 2.614 | 29 |
| 35.68 | 2.516 | 100 |
| 35.86 | 2.504 | 62 |
| 37.73 | 2.384 | 69 |
| 49.55 | 1.840 | 36 |
| 65.70 | 1.421 | 27 |

---

# 4
Theoretical X-ray powder pattern
Compound: ZrU
Radiation: Cu Kα
Structure: a PBE-relaxed structure

Atomic structure:
```
ZrU
1.0
6.2617 0.0000 0.0000
0.0000 5.2366 0.0000
-1.7198 0.0000 8.3218
Zr U
6 6
Cartesian
-0.4845 1.3092 2.4370
-0.9285 1.3092 7.7169
2.2414 3.9275 0.3306
2.3005 1.3092 7.9912
5.4703 3.9275 0.6049
5.0263 3.9275 5.8848
0.8168 1.3092 5.1985
1.2069 3.9275 3.5341
2.5802 1.3092 2.3690
1.9617 3.9275 5.9528
3.3349 1.3092 4.7877
3.7251 3.9275 3.1233
```

Peak list (10 most intense, 5° ≤ 2θ ≤ 70°, low angle first)
| Position (°2θ) | d/Å | I_rel |
| --- | --- | --- |
| 10.63 | 8.322 | 94 |
| 14.44 | 6.132 | 56 |
| 32.58 | 2.748 | 28 |
| 33.12 | 2.705 | 25 |
| 33.70 | 2.659 | 27 |
| 34.25 | 2.618 | 90 |
| 36.66 | 2.451 | 100 |
| 36.94 | 2.433 | 83 |
| 37.41 | 2.404 | 75 |
| 47.98 | 1.896 | 23 |